For Nd2Zn2Cu15, a cell relaxed with PBE gives the simulated XRD peak list in this record (Cu Ka).

Peak list (10 most intense, 2θ from 10° to 90°, by angle)
| 2θ/deg | I/Imax |
| --- | --- |
| 29.5 | 24 |
| 35.9 | 42 |
| 37.1 | 33 |
| 41.7 | 64 |
| 42.0 | 100 |
| 42.7 | 52 |
| 47.1 | 35 |
| 60.6 | 19 |
| 61.2 | 25 |
| 76.1 | 19 |

Atomic structure:
Cell: 8.6650 8.6650 12.7014 Å, 90.00 90.00 120.00°
Space group R-3m (No. 166, hexagonal axes)
Symmetry-distinct sites (fractional):
Nd: 0.0000 0.0000 0.1523 (multiplicity 6)
Zn: 0.0000 0.0000 0.3991 (multiplicity 6)
Cu: 0.0000 0.2962 0.5000 (multiplicity 18)
Cu: 0.0000 0.5000 0.0000 (multiplicity 9)
Cu: 0.0012 0.5006 0.3457 (multiplicity 18)


For NdZnCu3, a cell relaxed with PBE gives the simulated XRD peak list in this record (Cu Ka).

Peak list (10 most intense, 2θ from 10° to 90°, by angle)
| 2θ/deg | I/Imax |
| --- | --- |
| 29.3 | 100 |
| 29.5 | 51 |
| 29.7 | 34 |
| 41.6 | 47 |
| 41.8 | 51 |
| 42.0 | 50 |
| 42.2 | 19 |
| 42.4 | 66 |
| 43.0 | 18 |
| 60.8 | 31 |

Atomic structure:
Cell: 5.032 8.598 8.422 Å, 90.00 90.00 90.00°
Space group Imma (No. 74)
Symmetry-distinct sites (fractional):
Nd: 0.000 0.250 0.042 (multiplicity 4)
Zn: 0.000 0.000 0.500 (multiplicity 4)
Cu: 0.000 0.250 0.674 (multiplicity 4)
Cu: 0.250 0.013 0.750 (multiplicity 8)


For Nd7Zn2Cu2, a cell relaxed with PBE gives the simulated XRD peak list in this record (Cu Ka).

Peak list (10 most intense, 2θ from 10° to 90°, by angle)
| 2θ/deg | I/Imax |
| --- | --- |
| 26.0 | 19 |
| 28.0 | 100 |
| 29.0 | 16 |
| 32.0 | 47 |
| 33.6 | 13 |
| 36.2 | 34 |
| 37.3 | 65 |
| 49.4 | 15 |
| 57.8 | 13 |
| 60.1 | 13 |

Atomic structure:
Cell: 7.744 11.182 7.374 Å, 90.00 90.00 90.00°
Space group Cmmm (No. 65)
Symmetry-distinct sites (fractional):
Nd: 0.000 0.000 0.000 (multiplicity 2)
Nd: 0.000 0.500 0.256 (multiplicity 4)
Nd: 0.250 0.250 0.272 (multiplicity 8)
Zn: 0.163 0.000 0.500 (multiplicity 4)
Cu: 0.000 0.294 0.000 (multiplicity 4)


For Nd3Zn9Cu2, a cell relaxed with PBE gives the simulated XRD peak list in this record (Cu Ka).

Peak list (10 most intense, 2θ from 10° to 90°, by angle)
| 2θ/deg | I/Imax |
| --- | --- |
| 28.7 | 24 |
| 33.9 | 28 |
| 35.2 | 100 |
| 35.5 | 30 |
| 36.3 | 41 |
| 36.5 | 29 |
| 38.9 | 26 |
| 40.7 | 50 |
| 41.4 | 21 |
| 46.0 | 23 |

Atomic structure:
Cell: 4.432 8.944 13.091 Å, 90.00 90.00 90.00°
Space group Immm (No. 71)
Symmetry-distinct sites (fractional):
Nd: 0.000 0.000 0.000 (multiplicity 2)
Nd: 0.000 0.000 0.301 (multiplicity 4)
Zn: 0.000 0.284 0.132 (multiplicity 8)
Zn: 0.000 0.357 0.341 (multiplicity 8)
Zn: 0.000 0.500 0.000 (multiplicity 2)
Cu: 0.000 0.189 0.500 (multiplicity 4)


For Nd5ZnCu2, a cell relaxed with PBE gives the simulated XRD peak list in this record (Cu Ka).

Peak list (10 most intense, 2θ from 10° to 90°, by angle)
| 2θ/deg | I/Imax |
| --- | --- |
| 25.3 | 22 |
| 30.9 | 11 |
| 32.2 | 18 |
| 32.3 | 100 |
| 34.6 | 58 |
| 35.8 | 26 |
| 50.8 | 12 |
| 55.7 | 17 |
| 56.1 | 10 |
| 65.1 | 23 |

Atomic structure:
Cell: 8.193 8.193 12.688 Å, 90.00 90.00 90.00°
Space group I4/mcm (No. 140)
Symmetry-distinct sites (fractional):
Nd: 0.000 0.000 0.000 (multiplicity 4)
Nd: 0.158 0.342 0.145 (multiplicity 16)
Zn: 0.000 0.000 0.250 (multiplicity 4)
Cu: 0.125 0.375 0.500 (multiplicity 8)


For Nd3Zn8Cu, a cell relaxed with PBE gives the simulated XRD peak list in this record (Cu Ka).

Peak list (10 most intense, 2θ from 10° to 90°, by angle)
| 2θ/deg | I/Imax |
| --- | --- |
| 29.9 | 6 |
| 32.7 | 47 |
| 38.5 | 100 |
| 40.3 | 25 |
| 58.3 | 11 |
| 62.2 | 17 |
| 62.2 | 12 |
| 68.4 | 10 |
| 68.5 | 13 |
| 81.4 | 8 |

Atomic structure:
Cell: 5.4792 5.4792 26.8965 Å, 90.00 90.00 120.00°
Space group R3m (No. 160, hexagonal axes)
Symmetry-distinct sites (fractional):
Nd: 0.0000 0.0000 0.0000 (multiplicity 3)
Nd: 0.0000 0.0000 0.1277 (multiplicity 3)
Nd: 0.0000 0.0000 0.6119 (multiplicity 3)
Zn: 0.0000 0.0000 0.3107 (multiplicity 3)
Zn: 0.0000 0.0000 0.8114 (multiplicity 3)
Zn: 0.0000 0.5000 0.0622 (multiplicity 9)
Zn: 0.1679 0.3357 0.8925 (multiplicity 9)
Cu: 0.0000 0.0000 0.4853 (multiplicity 3)


For NdZrCu10, a cell relaxed with PBE gives the simulated XRD peak list in this record (Cu Ka).

Peak list (10 most intense, 2θ from 10° to 90°, by angle)
| 2θ/deg | I/Imax |
| --- | --- |
| 30.0 | 34 |
| 35.9 | 26 |
| 41.7 | 32 |
| 42.3 | 100 |
| 44.2 | 30 |
| 47.4 | 16 |
| 58.2 | 12 |
| 62.3 | 19 |
| 68.9 | 21 |
| 80.0 | 14 |

Atomic structure:
Cell: 4.099 5.011 8.665 Å, 90.00 90.00 90.00°
Space group Pmmm (No. 47)
Symmetry-distinct sites (fractional):
Nd: 0.000 0.000 0.000 (multiplicity 1)
Zr: 0.000 0.500 0.500 (multiplicity 1)
Cu: 0.000 0.000 0.342 (multiplicity 2)
Cu: 0.000 0.500 0.177 (multiplicity 2)
Cu: 0.500 0.000 0.500 (multiplicity 1)
Cu: 0.500 0.255 0.259 (multiplicity 4)
Cu: 0.500 0.500 0.000 (multiplicity 1)


For Cu7Ni5, a cell relaxed with PBE gives the simulated XRD peak list in this record (Cu Ka).

Peak list (5 most intense, 2θ from 10° to 90°, by angle)
| 2θ/deg | I/Imax |
| --- | --- |
| 43.9 | 100 |
| 51.0 | 31 |
| 51.3 | 15 |
| 75.1 | 9 |
| 75.3 | 18 |

Atomic structure:
Cell: 5.063 15.182 3.563 Å, 90.00 90.00 90.00°
Space group Cmmm (No. 65)
Symmetry-distinct sites (fractional):
Cu: 0.000 0.000 0.000 (multiplicity 2)
Cu: 0.000 0.168 0.000 (multiplicity 4)
Cu: 0.247 0.416 0.500 (multiplicity 8)
Ni: 0.000 0.332 0.000 (multiplicity 4)
Ni: 0.000 0.500 0.000 (multiplicity 2)
Ni: 0.250 0.250 0.500 (multiplicity 4)